# SiAgPbAu6
Simulated powder diffractogram, Cu Kα (λ = 1.5418 Å). Input: a PBE-relaxed structure.
Neutral-atom scattering factors, no anomalous dispersion.

Peak list (10 most intense, 2θ from 10° to 90°, by intensity)
31.76°, rel. 100
37.56°, rel. 90
38.29°, rel. 56
36.46°, rel. 39
41.36°, rel. 36
45.81°, rel. 34
57.63°, rel. 25
61.19°, rel. 22
74.91°, rel. 20
33.29°, rel. 19

Cell and atoms:
```
SiAgPbAu6
1.0
-3.520 4.701 5.565
3.520 -4.701 5.565
3.520 4.701 -5.565
Si Ag Pb Au
2 2 2 12
Direct
0.000 0.000 0.000
0.500 0.000 0.500
0.500 0.000 0.000
0.500 0.500 0.500
0.026 0.776 0.250
0.974 0.224 0.750
0.115 0.425 0.287
0.115 0.828 0.690
0.277 0.527 0.750
0.303 0.053 0.250
0.362 0.172 0.787
0.362 0.575 0.190
0.638 0.425 0.810
0.638 0.828 0.213
0.697 0.947 0.750
0.723 0.473 0.250
0.885 0.172 0.310
0.885 0.575 0.713
```